(1)
Simulated powder diffractogram of SmHo3Sc5 for λ = 1.5418 Å (Cu Kα), from a DFT-relaxed cell (PBE, Alexandria).
No peak broadening, texture or thermal motion is included.

Atomic structure:
Cell lengths 9.263, 9.263, 9.263 Å; angles 126.76, 126.76, 78.64 degrees
Element x y z (fractional)
Sm 0.250 0.750 0.500
Sm 0.750 0.250 0.500
Ho 0.120 0.620 0.740
Ho 0.250 0.250 0.000
Ho 0.380 0.120 0.500
Ho 0.620 0.880 0.500
Ho 0.750 0.750 0.000
Ho 0.880 0.380 0.260
Sc 0.000 0.000 0.000
Sc 0.069 0.161 0.500
Sc 0.161 0.661 0.091
Sc 0.339 0.431 0.500
Sc 0.431 0.931 0.091
Sc 0.500 0.500 0.000
Sc 0.569 0.069 0.909
Sc 0.661 0.569 0.500
Sc 0.839 0.339 0.909
Sc 0.931 0.839 0.500

Main lines, sorted by position (15 to 90 degrees two-theta):
two_theta, I/Imax
24.8, 93.0
30.5, 100.0
33.0, 96.0
39.7, 60.1
45.5, 43.9
69.2, 25.9



(2)
Simulated powder diffractogram of TlCd3Au2 for λ = 1.5418 Å (Cu Kα), from a DFT-relaxed cell (PBE, Alexandria).
No peak broadening, texture or thermal motion is included.

Atomic structure:
Cell lengths 8.662, 8.662, 8.662 Å; angles 150.71, 116.01, 71.90 degrees
Element x y z (fractional)
Tl 0.129 0.129 0.000
Tl 0.871 0.871 0.000
Cd 0.115 0.321 0.794
Cd 0.345 0.000 0.345
Cd 0.474 0.679 0.794
Cd 0.526 0.321 0.206
Cd 0.655 0.000 0.655
Cd 0.885 0.679 0.206
Au 0.153 0.500 0.653
Au 0.313 0.813 0.500
Au 0.687 0.187 0.500
Au 0.847 0.500 0.347

Main lines, sorted by position (15 to 90 degrees two-theta):
two_theta, I/Imax
28.9, 41.1
34.2, 100.0
38.1, 59.1
38.5, 21.7
41.2, 33.4
64.9, 29.3



(3)
Simulated powder diffractogram of PmUOsRu for λ = 1.5418 Å (Cu Kα), from a DFT-relaxed cell (PBE, Alexandria).
No peak broadening, texture or thermal motion is included.

Atomic structure:
Cell lengths 5.833, 5.833, 5.833 Å; angles 44.67, 44.67, 44.67 degrees
Element x y z (fractional)
Pm 0.000 0.000 0.000
U 0.501 0.501 0.501
Os 0.789 0.789 0.789
Ru 0.203 0.203 0.203

Main lines, sorted by position (15 to 90 degrees two-theta):
two_theta, I/Imax
16.9, 50.2
32.6, 100.0
40.7, 88.5
44.4, 27.2
53.1, 25.7
54.2, 25.8



(4)
Simulated powder diffractogram of La2RuPt2 for λ = 1.5418 Å (Cu Kα), from a DFT-relaxed cell (PBE, Alexandria).
No peak broadening, texture or thermal motion is included.

Atomic structure:
Cell lengths 7.374, 7.374, 4.191 Å; angles 90.00, 90.00, 90.00 degrees
Element x y z (fractional)
La 0.179 0.321 0.000
La 0.321 0.821 0.000
La 0.679 0.179 0.000
La 0.821 0.679 0.000
Ru 0.000 0.000 0.500
Ru 0.500 0.500 0.500
Pt 0.133 0.633 0.500
Pt 0.367 0.133 0.500
Pt 0.633 0.867 0.500
Pt 0.867 0.367 0.500

Main lines, sorted by position (15 to 90 degrees two-theta):
two_theta, I/Imax
32.3, 15.4
34.6, 100.0
38.6, 29.7
43.2, 17.4
59.3, 17.0
73.6, 11.3



(5)
Simulated powder diffractogram of KAcZnPb for λ = 1.5418 Å (Cu Kα), from a DFT-relaxed cell (PBE, Alexandria).
No peak broadening, texture or thermal motion is included.

Atomic structure:
Cell lengths 5.756, 5.756, 5.756 Å; angles 60.00, 60.00, 60.00 degrees
Element x y z (fractional)
K 0.000 0.000 0.000
Ac 0.500 0.500 0.500
Zn 0.250 0.250 0.250
Pb 0.750 0.750 0.750

Main lines, sorted by position (15 to 90 degrees two-theta):
two_theta, I/Imax
18.9, 36.9
31.1, 100.0
36.6, 22.6
44.5, 18.7
55.3, 39.6
73.6, 17.0



(6)
Simulated powder diffractogram of ZrClF4 for λ = 1.5418 Å (Cu Kα), from a DFT-relaxed cell (PBE, Alexandria).
No peak broadening, texture or thermal motion is included.

Atomic structure:
Cell lengths 4.205, 6.525, 8.753 Å; angles 90.00, 103.73, 90.00 degrees
Element x y z (fractional)
Zr 0.082 0.000 0.165
Zr 0.918 0.500 0.835
Cl 0.354 0.000 0.704
Cl 0.646 0.500 0.296
F 0.029 0.750 0.000
F 0.067 0.798 0.325
F 0.253 0.202 0.325
F 0.437 0.500 0.873
F 0.563 0.000 0.127
F 0.747 0.702 0.675
F 0.933 0.298 0.675
F 0.971 0.250 0.000

Main lines, sorted by position (15 to 90 degrees two-theta):
two_theta, I/Imax
17.1, 95.0
21.8, 67.3
25.0, 100.0
25.7, 87.0
29.8, 82.9
51.7, 49.3